1.
V6O7F5: calculated X-ray diffraction stick pattern (Cu Kα), based on the PBE+U geometry in Alexandria.

Structure:
```
data_V6O7F5
_chemical_formula_sum 'V12 O14 F10'
_cell_length_a 9.2751
_cell_length_b 6.4243
_cell_length_c 7.6407
_cell_angle_alpha 90.00
_cell_angle_beta 114.96
_cell_angle_gamma 90.00
_symmetry_space_group_name_H-M 'C 1 m 1'
_symmetry_Int_Tables_number 8
_symmetry_space_group_name_Hall 'C -2y'
loop_
_atom_site_label
_atom_site_fract_x
_atom_site_fract_y
_atom_site_fract_z
_atom_site_occupancy
V1 0.0000 0.0000 0.0000 1
V2 0.0009 0.0000 0.4981 1
V3 0.1517 0.5000 0.1932 1
V4 0.1665 0.5000 0.6594 1
V5 0.3341 0.0000 0.8279 1
V6 0.3374 0.0000 0.3260 1
O1 0.0032 0.3033 0.0013 1
O2 0.0638 0.5000 0.3639 1
O3 0.1675 0.1996 0.6633 1
O4 0.3276 0.3040 0.3286 1
F1 0.1024 0.0000 0.2954 1
F2 0.2314 0.0000 0.0303 1
F3 0.2697 0.5000 0.9604 1
F4 0.4025 0.5000 0.7030 1
F5 0.4333 0.0000 0.6252 1
```

Largest 10 diffraction maxima, by angle, 15 to 90 degrees two-theta:
- 25.50 deg, rel. 100
- 27.77 deg, rel. 97
- 34.88 deg, rel. 94
- 40.68 deg, rel. 20
- 51.18 deg, rel. 33
- 51.39 deg, rel. 32
- 53.85 deg, rel. 53
- 60.37 deg, rel. 27
- 66.64 deg, rel. 22
- 66.80 deg, rel. 26

---

2.
V6O7F5: calculated X-ray diffraction stick pattern (Cu Kα), based on the PBE+U geometry in Alexandria.

Structure:
```
data_V6O7F5
_chemical_formula_sum 'V6 O7 F5'
_cell_length_a 4.6558
_cell_length_b 5.6251
_cell_length_c 7.8045
_cell_angle_alpha 86.31
_cell_angle_beta 88.78
_cell_angle_gamma 89.02
_symmetry_space_group_name_H-M 'P 1'
_symmetry_Int_Tables_number 1
_symmetry_space_group_name_Hall 'P 1'
loop_
_atom_site_label
_atom_site_fract_x
_atom_site_fract_y
_atom_site_fract_z
_atom_site_occupancy
V1 0.0000 0.0000 0.0000 1
V2 0.0017 0.6697 0.3307 1
V3 0.4901 0.1635 0.3238 1
V4 0.4995 0.8472 0.6861 1
V5 0.5206 0.4896 0.9728 1
V6 0.9723 0.3087 0.6441 1
O1 0.1834 0.9562 0.2343 1
O2 0.2914 0.1387 0.5625 1
O3 0.3030 0.7890 0.9033 1
O4 0.6862 0.2029 0.0967 1
O5 0.7183 0.5267 0.7539 1
O6 0.8035 0.3712 0.4262 1
O7 0.8064 0.0374 0.7631 1
F1 0.1975 0.2950 0.8839 1
F2 0.2094 0.6309 0.5603 1
F3 0.2920 0.4677 0.2145 1
F4 0.6882 0.8612 0.4376 1
F5 0.7943 0.6977 0.1004 1
```

Largest 10 diffraction maxima, by angle, 15 to 90 degrees two-theta:
- 26.62 deg, rel. 100
- 27.31 deg, rel. 96
- 34.57 deg, rel. 49
- 34.66 deg, rel. 26
- 34.83 deg, rel. 24
- 52.42 deg, rel. 16
- 53.08 deg, rel. 41
- 54.82 deg, rel. 18
- 56.35 deg, rel. 17
- 59.50 deg, rel. 20

---

3.
V3OF7: calculated X-ray diffraction stick pattern (Cu Kα), based on the PBE+U geometry in Alexandria.

Structure:
```
data_V3OF7
_chemical_formula_sum 'V12 O4 F28'
_cell_length_a 4.0170
_cell_length_b 15.4334
_cell_length_c 9.9657
_cell_angle_alpha 90.00
_cell_angle_beta 90.00
_cell_angle_gamma 90.00
_symmetry_space_group_name_H-M 'C m c m'
_symmetry_Int_Tables_number 63
_symmetry_space_group_name_Hall '-C 2c 2'
loop_
_atom_site_label
_atom_site_fract_x
_atom_site_fract_y
_atom_site_fract_z
_atom_site_occupancy
V1 0.0000 0.0399 0.2500 1
V2 0.0000 0.1788 0.5731 1
O1 0.0000 0.2063 0.7500 1
F1 0.0000 0.0524 0.6140 1
F2 0.0000 0.1341 0.1164 1
F3 0.0000 0.3012 0.0341 1
F4 0.0000 0.4618 0.7500 1
```

Largest 10 diffraction maxima, by angle, 15 to 90 degrees two-theta:
- 21.23 deg, rel. 88
- 22.88 deg, rel. 100
- 24.74 deg, rel. 43
- 28.19 deg, rel. 15
- 29.27 deg, rel. 42
- 44.55 deg, rel. 28
- 45.14 deg, rel. 39
- 51.60 deg, rel. 24
- 54.98 deg, rel. 24
- 65.29 deg, rel. 15